No. 1
KCNO: simulated powder XRD pattern (Cu Kα X-rays), based on a crystal structure in the Materials Project, relaxed with GGA-PBE.
No peak broadening, texture or thermal motion is included.

Top 10 peaks for 2θ = 15–90°, in order of rising 2θ:
2θ (°)	intensity
29.1	67.6
32.3	100.0
32.6	89.8
34.7	20.2
35.3	18.5
38.7	34.2
41.1	16.9
46.5	14.9
47.1	17.0
51.1	16.4

Structural model:
```
data_KCNO
_chemical_formula_sum 'K2 C2 N2 O2'
_symmetry_space_group_name_H-M 'P 1'
_symmetry_Int_Tables_number 1
_symmetry_space_group_name_Hall 'P 1'
_cell_length_a 6.1428
_cell_length_b 5.6600
_cell_length_c 5.5892
_cell_angle_alpha 66.19
_cell_angle_beta 57.46
_cell_angle_gamma 56.35
loop_
_atom_site_label
_atom_site_fract_x
_atom_site_fract_y
_atom_site_fract_z
K1 0.2500 0.2500 0.2500
K2 0.7500 0.7500 0.7500
C1 0.0000 0.0000 0.0000
C2 0.5000 0.5000 0.5000
N1 0.1423 0.1423 0.8577
N2 0.8577 0.8577 0.1423
O1 0.3632 0.6368 0.3632
O2 0.6368 0.3632 0.6368
```

---

No. 2
K2C7N4O: simulated powder XRD pattern (Cu Kα X-rays), based on a crystal structure in the Materials Project, relaxed with GGA-PBE.
No peak broadening, texture or thermal motion is included.

Top 10 peaks for 2θ = 15–90°, in order of rising 2θ:
2θ (°)	intensity
21.5	16.3
24.2	17.2
24.4	36.5
26.3	100.0
26.4	17.1
27.0	21.0
27.9	15.4
30.8	16.1
31.1	20.1
33.4	20.1

Structural model:
```
data_K2C7N4O
_chemical_formula_sum 'K4 C14 N8 O2'
_symmetry_space_group_name_H-M 'P 1'
_symmetry_Int_Tables_number 1
_symmetry_space_group_name_Hall 'P 1'
_cell_length_a 4.1955
_cell_length_b 8.0865
_cell_length_c 14.9242
_cell_angle_alpha 99.44
_cell_angle_beta 96.82
_cell_angle_gamma 91.46
loop_
_atom_site_label
_atom_site_fract_x
_atom_site_fract_y
_atom_site_fract_z
K1 0.1864 0.3971 0.1216
K2 0.3075 0.6223 0.6257
K3 0.6925 0.3777 0.3743
K4 0.8136 0.6029 0.8784
C1 0.0033 0.1712 0.6768
C2 0.0987 0.9982 0.3464
C3 0.1189 0.7214 0.3822
C4 0.2078 0.2478 0.7594
C5 0.3148 0.9734 0.8192
C6 0.3415 0.1480 0.8263
C7 0.4798 0.7648 0.0937
C8 0.5202 0.2352 0.9063
C9 0.6585 0.8520 0.1737
C10 0.6852 0.0266 0.1808
C11 0.7922 0.7522 0.2406
C12 0.8811 0.2786 0.6178
C13 0.9013 0.0018 0.6536
C14 0.9967 0.8288 0.3232
N1 0.1915 0.1391 0.3681
N2 0.2187 0.6264 0.4295
N3 0.3048 0.8271 0.8177
N4 0.3296 0.6896 0.0271
N5 0.6704 0.3104 0.9729
N6 0.6952 0.1729 0.1823
N7 0.7813 0.3736 0.5705
N8 0.8085 0.8609 0.6319
O1 0.2681 0.4062 0.7742
O2 0.7319 0.5938 0.2258
```

---

No. 3
K2C7N4O: simulated powder XRD pattern (Cu Kα X-rays), based on a crystal structure in the Materials Project, relaxed with GGA-PBE.
No peak broadening, texture or thermal motion is included.

Top 10 peaks for 2θ = 15–90°, in order of rising 2θ:
2θ (°)	intensity
23.5	37.5
25.2	27.4
25.5	74.0
26.5	100.0
29.4	13.3
30.0	20.2
31.3	25.6
33.8	17.5
34.1	19.8
34.9	23.6

Structural model:
```
data_K2C7N4O
_chemical_formula_sum 'K8 C28 N16 O4'
_symmetry_space_group_name_H-M 'P 1'
_symmetry_Int_Tables_number 1
_symmetry_space_group_name_Hall 'P 1'
_cell_length_a 8.4455
_cell_length_b 16.3325
_cell_length_c 7.8196
_cell_angle_alpha 90.00
_cell_angle_beta 112.05
_cell_angle_gamma 90.00
loop_
_atom_site_label
_atom_site_fract_x
_atom_site_fract_y
_atom_site_fract_z
K1 0.0952 0.0678 0.3113
K2 0.0952 0.4322 0.8113
K3 0.1106 0.1823 0.8523
K4 0.1106 0.3177 0.3523
K5 0.8894 0.6823 0.6477
K6 0.8894 0.8177 0.1477
K7 0.9048 0.5678 0.1887
K8 0.9048 0.9322 0.6887
C1 0.2377 0.6517 0.0251
C2 0.2377 0.8483 0.5251
C3 0.2627 0.7002 0.5300
C4 0.2627 0.7998 0.0300
C5 0.2710 0.5509 0.5359
C6 0.2710 0.9491 0.0359
C7 0.3442 0.7202 0.0813
C8 0.3442 0.7798 0.5813
C9 0.3580 0.6252 0.5945
C10 0.3580 0.8748 0.0945
C11 0.4745 0.1193 0.7758
C12 0.4745 0.3807 0.2758
C13 0.4814 0.2056 0.3241
C14 0.4814 0.2944 0.8241
C15 0.5186 0.7056 0.1759
C16 0.5186 0.7944 0.6759
C17 0.5255 0.6193 0.7242
C18 0.5255 0.8807 0.2242
C19 0.6420 0.1252 0.9055
C20 0.6420 0.3748 0.4055
C21 0.6558 0.2202 0.4187
C22 0.6558 0.2798 0.9187
C23 0.7290 0.0509 0.9641
C24 0.7290 0.4491 0.4641
C25 0.7373 0.2002 0.9700
C26 0.7373 0.2998 0.4700
C27 0.7623 0.1517 0.4749
C28 0.7623 0.3483 0.9749
N1 0.1447 0.5953 0.9760
N2 0.1447 0.9047 0.4760
N3 0.1971 0.0113 0.9896
N4 0.1971 0.4887 0.4896
N5 0.3347 0.1122 0.6656
N6 0.3348 0.1914 0.2471
N7 0.3348 0.3086 0.7471
N8 0.3347 0.3878 0.1656
N9 0.6653 0.6122 0.8344
N10 0.6652 0.6914 0.2529
N11 0.6652 0.8086 0.7529
N12 0.6653 0.8878 0.3344
N13 0.8029 0.5113 0.5104
N14 0.8029 0.9887 0.0104
N15 0.8553 0.0953 0.5240
N16 0.8553 0.4047 0.0240
O1 0.1038 0.6967 0.4282
O2 0.1038 0.8033 0.9282
O3 0.8962 0.1967 0.0718
O4 0.8962 0.3033 0.5718
```

---

No. 4
K2P4PtCSNO11: simulated powder XRD pattern (Cu Kα X-rays), based on a crystal structure in the Materials Project, relaxed with GGA-PBE.
No peak broadening, texture or thermal motion is included.

Top 10 peaks for 2θ = 15–90°, in order of rising 2θ:
2θ (°)	intensity
15.4	100.0
20.6	24.0
22.7	33.5
24.0	61.5
24.8	44.1
30.0	23.9
31.0	45.3
36.2	28.5
36.5	36.2
42.5	24.5

Structural model:
```
data_K2P4PtCSNO11
_chemical_formula_sum 'K4 P8 Pt2 C2 S2 N2 O22'
_symmetry_space_group_name_H-M 'P 1'
_symmetry_Int_Tables_number 1
_symmetry_space_group_name_Hall 'P 1'
_cell_length_a 7.9123
_cell_length_b 10.9874
_cell_length_c 11.1925
_cell_angle_alpha 62.96
_cell_angle_beta 76.75
_cell_angle_gamma 70.69
loop_
_atom_site_label
_atom_site_fract_x
_atom_site_fract_y
_atom_site_fract_z
K1 0.0255 0.1417 0.1694
K2 0.2503 0.2011 0.7153
K3 0.7497 0.7989 0.2847
K4 0.9745 0.8583 0.8306
P1 0.0500 0.5534 0.1570
P2 0.2386 0.4629 0.9459
P3 0.4592 0.2221 0.4124
P4 0.4675 0.8076 0.8557
P5 0.5325 0.1924 0.1443
P6 0.5408 0.7779 0.5876
P7 0.7614 0.5371 0.0541
P8 0.9500 0.4466 0.8430
Pt1 0.4627 0.6082 0.0558
Pt2 0.5373 0.3918 0.9442
C1 0.2277 0.7801 0.2434
C2 0.7723 0.2199 0.7566
S1 0.4393 0.6911 0.2272
S2 0.5607 0.3089 0.7728
N1 0.0790 0.8458 0.2574
N2 0.9210 0.1542 0.7426
O1 0.0063 0.4962 0.3044
O2 0.0776 0.9878 0.4733
O3 0.1432 0.3663 0.9176
O4 0.1458 0.4310 0.1007
O5 0.1631 0.6602 0.0867
O6 0.1872 0.6122 0.8460
O7 0.2835 0.9062 0.8525
O8 0.3151 0.1486 0.4751
O9 0.3675 0.1440 0.1708
O10 0.4520 0.7289 0.5220
O11 0.4749 0.7425 0.7390
O12 0.5251 0.2576 0.2610
O13 0.5480 0.2711 0.4780
O14 0.6325 0.8560 0.8292
O15 0.6849 0.8514 0.5249
O16 0.7165 0.0938 0.1475
O17 0.8128 0.3878 0.1540
O18 0.8369 0.3398 0.9133
O19 0.8542 0.5690 0.8993
O20 0.8568 0.6337 0.0824
O21 0.9224 0.0122 0.5267
O22 0.9937 0.5038 0.6956
```

---

No. 5
K3ReC4N4O2: simulated powder XRD pattern (Cu Kα X-rays), based on a crystal structure in the Materials Project, relaxed with GGA-PBE.
No peak broadening, texture or thermal motion is included.

Top 10 peaks for 2θ = 15–90°, in order of rising 2θ:
2θ (°)	intensity
21.7	70.1
22.1	59.7
22.4	49.4
24.8	74.7
25.4	88.1
25.5	100.0
30.7	59.0
32.3	54.7
32.4	84.3
45.8	47.3

Structural model:
```
data_K3ReC4N4O2
_chemical_formula_sum 'K3 Re1 C4 N4 O2'
_symmetry_space_group_name_H-M 'P 1'
_symmetry_Int_Tables_number 1
_symmetry_space_group_name_Hall 'P 1'
_cell_length_a 6.9893
_cell_length_b 7.3816
_cell_length_c 8.4922
_cell_angle_alpha 108.86
_cell_angle_beta 101.07
_cell_angle_gamma 112.71
loop_
_atom_site_label
_atom_site_fract_x
_atom_site_fract_y
_atom_site_fract_z
K1 0.0000 0.0000 0.0000
K2 0.2799 0.6218 0.3758
K3 0.7201 0.3782 0.6242
Re1 0.0000 0.0000 0.5000
C1 0.2243 0.0478 0.3640
C2 0.2379 0.2287 0.8223
C3 0.7621 0.7713 0.1777
C4 0.7757 0.9522 0.6360
N1 0.3464 0.2393 0.7285
N2 0.3527 0.0937 0.2927
N3 0.6473 0.9063 0.7073
N4 0.6536 0.7607 0.2715
O1 0.0240 0.7701 0.5117
O2 0.9760 0.2299 0.4883
```

---

No. 6
K3ReC4N4O2: simulated powder XRD pattern (Cu Kα X-rays), based on a crystal structure in the Materials Project, relaxed with GGA-PBE.
No peak broadening, texture or thermal motion is included.

Top 10 peaks for 2θ = 15–90°, in order of rising 2θ:
2θ (°)	intensity
15.2	57.4
15.4	28.6
21.2	37.2
22.1	75.5
25.2	99.3
25.3	49.8
25.6	36.2
27.3	52.2
30.5	100.0
43.5	32.3

Structural model:
```
data_K3ReC4N4O2
_chemical_formula_sum 'K3 Re1 C4 N4 O2'
_symmetry_space_group_name_H-M 'P 1'
_symmetry_Int_Tables_number 1
_symmetry_space_group_name_Hall 'P 1'
_cell_length_a 7.1950
_cell_length_b 7.2349
_cell_length_c 8.6778
_cell_angle_alpha 102.12
_cell_angle_beta 99.83
_cell_angle_gamma 118.97
loop_
_atom_site_label
_atom_site_fract_x
_atom_site_fract_y
_atom_site_fract_z
K1 0.0000 0.0000 0.0000
K2 0.2678 0.6243 0.4132
K3 0.7322 0.3757 0.5868
Re1 0.0000 0.0000 0.5000
C1 0.2263 0.0539 0.3618
C2 0.2344 0.2212 0.7940
C3 0.7656 0.7788 0.2060
C4 0.7737 0.9461 0.6382
N1 0.3463 0.2485 0.7029
N2 0.3551 0.0910 0.2868
N3 0.6449 0.9090 0.7132
N4 0.6537 0.7515 0.2971
O1 0.0076 0.7630 0.5260
O2 0.9924 0.2370 0.4740
```